# 1
The following is a simulated X-ray diffraction stick pattern of FeNi3P4O16. It was derived from the GGA+U geometry in Alexandria, using Cu Kα (weighted mean of Kα1 and Kα2).
Intensities are scaled so that the largest is 100.

Most intense lines, 2θ from 10° to 90°, in order of rising 2θ:
d [Å]  2θ (°)  Rel. int.
4.949  17.92  71
4.342  20.45  70
3.473  25.65  100
2.968  30.11  41
2.894  30.90  74
2.465  36.45  100

Structural model:
Unit cell a=4.831 b=5.787 c=9.898 alpha=90.00 beta=90.11 gamma=90.00
Positions (direct):
Fe 0.000 0.000 0.000
Ni 0.380 0.000 0.501
Ni 0.507 0.500 0.952
Ni 0.881 0.500 0.453
P 0.051 0.500 0.134
P 0.329 0.500 0.634
P 0.559 0.000 0.818
P 0.827 0.000 0.321
O 0.112 0.500 0.286
O 0.142 0.000 0.341
O 0.179 0.292 0.563
O 0.179 0.708 0.563
O 0.195 0.290 0.062
O 0.195 0.710 0.062
O 0.248 0.000 0.845
O 0.273 0.500 0.786
O 0.614 0.000 0.665
O 0.643 0.500 0.614
O 0.678 0.208 0.391
O 0.678 0.792 0.391
O 0.711 0.207 0.890
O 0.711 0.793 0.890
O 0.736 0.500 0.115
O 0.776 0.000 0.167

=====

# 2
The following is a simulated X-ray diffraction stick pattern of Fe2Ni3SbP6O24. It was derived from the GGA+U geometry in Alexandria, using Cu Kα (weighted mean of Kα1 and Kα2).
Intensities are scaled so that the largest is 100.

Most intense lines, 2θ from 10° to 90°, in order of rising 2θ:
d [Å]  2θ (°)  Rel. int.
4.336  20.48  100
3.657  24.34  74
2.677  33.47  65
2.503  35.87  44
1.898  47.93  29
1.829  49.87  26

Structural model:
Unit cell a=8.450 b=8.450 c=8.450 alpha=61.75 beta=61.75 gamma=61.75
Positions (direct):
Fe 0.000 0.000 0.000
Fe 0.491 0.491 0.491
Ni 0.136 0.136 0.136
Ni 0.348 0.348 0.348
Ni 0.634 0.634 0.634
Sb 0.848 0.848 0.848
P 0.041 0.445 0.733
P 0.245 0.941 0.533
P 0.445 0.733 0.041
P 0.533 0.245 0.941
P 0.733 0.041 0.445
P 0.941 0.533 0.245
O 0.002 0.600 0.813
O 0.042 0.249 0.895
O 0.080 0.929 0.743
O 0.094 0.502 0.309
O 0.169 0.978 0.386
O 0.246 0.426 0.594
O 0.249 0.895 0.042
O 0.309 0.094 0.502
O 0.386 0.169 0.978
O 0.389 0.735 0.563
O 0.426 0.594 0.246
O 0.502 0.309 0.094
O 0.503 0.649 0.893
O 0.563 0.389 0.735
O 0.594 0.246 0.426
O 0.600 0.813 0.002
O 0.649 0.893 0.503
O 0.735 0.563 0.389
O 0.743 0.080 0.929
O 0.813 0.002 0.600
O 0.893 0.503 0.649
O 0.895 0.042 0.249
O 0.929 0.743 0.080
O 0.978 0.386 0.169

=====

# 3
The following is a simulated X-ray diffraction stick pattern of TiFe3Ni2P6O24. It was derived from the GGA+U geometry in Alexandria, using Cu Kα (weighted mean of Kα1 and Kα2).
Intensities are scaled so that the largest is 100.

Most intense lines, 2θ from 10° to 90°, in order of rising 2θ:
d [Å]  2θ (°)  Rel. int.
4.308  20.62  90
3.656  24.35  100
2.695  33.24  76
2.487  36.11  40
1.908  47.66  32
1.828  49.89  29

Structural model:
Unit cell a=8.513 b=8.513 c=8.513 alpha=60.80 beta=60.80 gamma=60.80
Positions (direct):
Ti 0.000 0.000 0.000
Fe 0.211 0.211 0.211
Fe 0.498 0.498 0.498
Fe 0.710 0.710 0.710
Ni 0.354 0.354 0.354
Ni 0.854 0.854 0.854
P 0.106 0.809 0.401
P 0.309 0.605 0.899
P 0.401 0.106 0.809
P 0.605 0.899 0.309
P 0.809 0.401 0.106
P 0.899 0.309 0.605
O 0.034 0.862 0.239
O 0.099 0.292 0.447
O 0.108 0.766 0.918
O 0.176 0.963 0.358
O 0.239 0.034 0.862
O 0.262 0.610 0.410
O 0.292 0.447 0.099
O 0.346 0.540 0.743
O 0.358 0.176 0.963
O 0.410 0.262 0.610
O 0.447 0.099 0.292
O 0.463 0.675 0.857
O 0.540 0.743 0.346
O 0.598 0.945 0.795
O 0.610 0.410 0.262
O 0.675 0.857 0.463
O 0.743 0.346 0.540
O 0.766 0.918 0.108
O 0.795 0.598 0.945
O 0.857 0.463 0.675
O 0.862 0.239 0.034
O 0.918 0.108 0.766
O 0.945 0.795 0.598
O 0.963 0.358 0.176

=====

# 4
The following is a simulated X-ray diffraction stick pattern of VFe2Ni3P6O24. It was derived from the GGA+U geometry in Alexandria, using Cu Kα (weighted mean of Kα1 and Kα2).
Intensities are scaled so that the largest is 100.

Most intense lines, 2θ from 10° to 90°, in order of rising 2θ:
d [Å]  2θ (°)  Rel. int.
4.317  20.57  96
3.635  24.49  100
2.657  33.74  73
2.492  36.04  45
1.884  48.31  33
1.818  50.19  28

Structural model:
Unit cell a=8.384 b=8.384 c=8.384 alpha=61.99 beta=61.99 gamma=61.99
Positions (direct):
V 0.000 0.000 0.000
Fe 0.149 0.149 0.149
Fe 0.649 0.649 0.649
Ni 0.290 0.290 0.290
Ni 0.504 0.504 0.504
Ni 0.789 0.789 0.789
P 0.099 0.694 0.393
P 0.193 0.599 0.891
P 0.393 0.099 0.694
P 0.599 0.891 0.193
P 0.694 0.393 0.099
P 0.891 0.193 0.599
O 0.049 0.654 0.801
O 0.050 0.198 0.402
O 0.075 0.902 0.233
O 0.129 0.766 0.973
O 0.140 0.545 0.315
O 0.198 0.402 0.050
O 0.233 0.075 0.902
O 0.255 0.666 0.456
O 0.315 0.140 0.545
O 0.398 0.593 0.752
O 0.402 0.050 0.198
O 0.456 0.255 0.666
O 0.545 0.315 0.140
O 0.545 0.895 0.713
O 0.593 0.752 0.398
O 0.654 0.801 0.049
O 0.666 0.456 0.255
O 0.713 0.545 0.895
O 0.752 0.398 0.593
O 0.766 0.973 0.129
O 0.801 0.049 0.654
O 0.895 0.713 0.545
O 0.902 0.233 0.075
O 0.973 0.129 0.766

=====

# 5
The following is a simulated X-ray diffraction stick pattern of FeNi2PbO6. It was derived from the GGA+U geometry in Alexandria, using Cu Kα (weighted mean of Kα1 and Kα2).
Intensities are scaled so that the largest is 100.

Most intense lines, 2θ from 10° to 90°, in order of rising 2θ:
d [Å]  2θ (°)  Rel. int.
4.322  20.55  51
3.813  23.33  54
2.776  32.24  100
2.623  34.19  91
1.906  47.70  40
1.745  52.43  46

Structural model:
Unit cell a=5.572 b=5.572 c=5.572 alpha=56.16 beta=56.16 gamma=56.16
Positions (direct):
Fe 0.000 0.000 0.000
Ni 0.298 0.298 0.298
Ni 0.793 0.793 0.793
Pb 0.506 0.506 0.506
O 0.077 0.696 0.397
O 0.167 0.590 0.929
O 0.397 0.077 0.696
O 0.590 0.929 0.167
O 0.696 0.397 0.077
O 0.929 0.167 0.590

=====

# 6
The following is a simulated X-ray diffraction stick pattern of FeNiPdO4. It was derived from the GGA+U geometry in Alexandria, using Cu Kα (weighted mean of Kα1 and Kα2).
Intensities are scaled so that the largest is 100.

Most intense lines, 2θ from 10° to 90°, in order of rising 2θ:
d [Å]  2θ (°)  Rel. int.
4.889  18.14  53
3.052  29.27  31
2.695  33.25  78
2.501  35.91  100
2.491  36.05  46
1.526  60.69  63

Structural model:
Unit cell a=6.138 b=6.138 c=6.138 alpha=123.81 beta=123.38 gamma=83.88
Positions (direct):
Fe 0.500 0.000 0.000
Fe 0.500 0.500 0.500
Ni 0.133 0.383 0.750
Ni 0.867 0.617 0.250
Pd 0.000 0.000 0.000
Pd 0.500 0.000 0.500
O 0.268 0.249 0.019
O 0.270 0.751 0.519
O 0.284 0.280 0.496
O 0.284 0.788 0.004
O 0.716 0.212 0.996
O 0.716 0.720 0.504
O 0.730 0.249 0.481
O 0.732 0.751 0.981

=====

# 7
The following is a simulated X-ray diffraction stick pattern of PuFe2NiO8. It was derived from the GGA+U geometry in Alexandria, using Cu Kα (weighted mean of Kα1 and Kα2).
Intensities are scaled so that the largest is 100.

Most intense lines, 2θ from 10° to 90°, in order of rising 2θ:
d [Å]  2θ (°)  Rel. int.
4.727  18.77  82
4.667  19.02  35
3.300  27.02  100
2.741  32.67  97
2.706  33.11  26
1.777  51.43  70

Structural model:
Unit cell a=5.766 b=5.766 c=5.766 alpha=110.19 beta=110.19 gamma=108.05
Positions (direct):
Pu 0.000 0.000 0.000
Fe 0.500 0.500 0.000
Fe 0.750 0.250 0.500
Ni 0.250 0.750 0.500
O 0.300 0.106 0.805
O 0.300 0.495 0.195
O 0.356 0.059 0.296
O 0.505 0.700 0.805
O 0.763 0.059 0.704
O 0.894 0.700 0.195
O 0.941 0.237 0.296
O 0.941 0.644 0.704

=====

# 8
The following is a simulated X-ray diffraction stick pattern of V4FeNiO12. It was derived from the GGA+U geometry in Alexandria, using Cu Kα (weighted mean of Kα1 and Kα2).
Intensities are scaled so that the largest is 100.

Most intense lines, 2θ from 10° to 90°, in order of rising 2θ:
d [Å]  2θ (°)  Rel. int.
4.857  18.26  44
4.576  19.40  49
3.192  27.95  100
2.978  30.01  62
2.756  32.49  46
2.558  35.08  25

Structural model:
Unit cell a=6.819 b=6.819 c=5.898 alpha=105.30 beta=105.30 gamma=84.31
Positions (direct):
V 0.202 0.202 0.492
V 0.384 0.024 0.996
V 0.798 0.798 0.508
V 0.976 0.616 0.004
Fe 0.507 0.493 0.000
Ni 0.677 0.323 0.500
O 0.207 0.501 0.023
O 0.217 0.057 0.194
O 0.242 0.041 0.698
O 0.396 0.371 0.601
O 0.499 0.793 0.977
O 0.556 0.216 0.118
O 0.629 0.604 0.399
O 0.681 0.028 0.524
O 0.784 0.444 0.882
O 0.943 0.783 0.806
O 0.959 0.758 0.302
O 0.972 0.319 0.476